(1)
Computed powder diffractogram of Gd for CuKα, from a DFT-relaxed cell (PBE, the Materials Project).

Most intense lines, 2θ from 5° to 70°, in order of falling intensity:
2θ 31.7, rel. 1000
2θ 33.3, rel. 877
2θ 30.9, rel. 499
2θ 60.3, rel. 449
2θ 50.4, rel. 385
2θ 28.7, rel. 368
2θ 54.3, rel. 217
2θ 57.6, rel. 185
2θ 60.7, rel. 156
2θ 39.9, rel. 149

Cell lengths 8.926, 8.926, 8.926 Å; angles 23.42, 23.42, 23.42 degrees
Fractional positions:
Gd: 0.000 0.000 0.000
Gd: 0.222 0.222 0.222
Gd: 0.778 0.778 0.778



(2)
Computed powder diffractogram of Li2SnHg for CuKα, from a DFT-relaxed cell (PBE, the Materials Project).

Most intense lines, 2θ from 5° to 70°, in order of falling intensity:
2θ 26.4, rel. 1000
2θ 37.7, rel. 913
2θ 61.5, rel. 398
2θ 68.1, rel. 335
2θ 46.7, rel. 297
2θ 54.4, rel. 161
2θ 22.8, rel. 119
2θ 44.6, rel. 65
2θ 59.8, rel. 27

Cell lengths 4.768, 4.768, 4.768 Å; angles 60.00, 60.00, 60.00 degrees
Fractional positions:
Li: 0.250 0.250 0.250
Li: 0.750 0.750 0.750
Sn: 0.000 0.000 0.000
Hg: 0.500 0.500 0.500



(3)
Computed powder diffractogram of Tb2Ga3Cu for CuKα, from a DFT-relaxed cell (PBE, the Materials Project).

Most intense lines, 2θ from 5° to 70°, in order of falling intensity:
2θ 34.2, rel. 1000
2θ 41.2, rel. 573
2θ 54.6, rel. 262
2θ 23.4, rel. 196
2θ 67.1, rel. 147
2θ 44.5, rel. 92
2θ 56.4, rel. 62
2θ 50.5, rel. 58
2θ 26.5, rel. 46
2θ 69.5, rel. 39

Cell lengths 4.384, 4.384, 7.233 Å; angles 90.00, 90.00, 120.00 degrees
Fractional positions:
Tb: 0.000 0.000 0.000
Tb: 0.000 0.000 0.471
Ga: 0.333 0.667 0.215
Ga: 0.333 0.667 0.785
Ga: 0.667 0.333 0.690
Cu: 0.667 0.333 0.275



(4)
Computed powder diffractogram of Ba3MgNb2ZnO9 for CuKα, from a DFT-relaxed cell (PBE, the Materials Project).

Most intense lines, 2θ from 5° to 70°, in order of falling intensity:
2θ 30.4, rel. 1000
2θ 29.0, rel. 721
2θ 28.8, rel. 632
2θ 43.6, rel. 606
2θ 30.3, rel. 365
2θ 53.0, rel. 202
2θ 53.4, rel. 146
2θ 53.2, rel. 135
2θ 39.0, rel. 129
2θ 27.8, rel. 121

Cell lengths 6.246, 6.246, 7.423 Å; angles 94.93, 94.93, 56.19 degrees
Fractional positions:
Ba: 0.000 0.000 0.000
Ba: 0.267 0.267 0.667
Ba: 0.565 0.565 0.400
Mg: 0.779 0.779 0.184
Nb: 0.293 0.293 0.172
Nb: 0.606 0.606 0.845
Zn: 0.912 0.912 0.552
O: 0.102 0.636 0.332
O: 0.152 0.152 0.316
O: 0.269 0.769 0.693
O: 0.461 0.461 0.020
O: 0.471 0.951 0.007
O: 0.636 0.102 0.332
O: 0.749 0.749 0.672
O: 0.769 0.269 0.693
O: 0.951 0.471 0.007



(5)
Computed powder diffractogram of Tb3Pm for CuKα, from a DFT-relaxed cell (PBE, the Materials Project).

Most intense lines, 2θ from 5° to 70°, in order of falling intensity:
2θ 32.4, rel. 1000
2θ 30.7, rel. 255
2θ 28.4, rel. 234
2θ 60.1, rel. 228
2θ 55.7, rel. 215
2θ 50.3, rel. 194
2θ 61.1, rel. 163
2θ 42.3, rel. 160
2θ 67.8, rel. 40
2θ 64.0, rel. 31

Cell lengths 7.259, 7.259, 5.822 Å; angles 90.00, 90.00, 120.00 degrees
Fractional positions:
Tb: 0.166 0.331 0.250
Tb: 0.166 0.834 0.250
Tb: 0.331 0.166 0.750
Tb: 0.669 0.834 0.250
Tb: 0.834 0.166 0.750
Tb: 0.834 0.669 0.750
Pm: 0.333 0.667 0.750
Pm: 0.667 0.333 0.250